Starting from a crystal structure in Alexandria, relaxed with PBE, the PXRD pattern of Ba4Nd7Si12BN27 was computed for Cu Kα.
No peak broadening, texture or thermal motion is included.

The 6 most intense peaks (10 to 90 degrees two-theta), in order of rising 2θ:
d = 4.092 Å, 2θ 21.7, I = 45
d = 3.822 Å, 2θ 23.3, I = 75
d = 3.249 Å, 2θ 27.4, I = 83
d = 2.733 Å, 2θ 32.8, I = 76
d = 2.688 Å, 2θ 33.3, I = 100
d = 2.606 Å, 2θ 34.4, I = 40

a = 12.3459 Å, b = 12.3459 Å, c = 5.4654 Å
α = 90.00°, β = 90.00°, γ = 120.00°
Space group P-6 (No. 174)
Symmetry-distinct sites (fractional):
Ba: 0.0000 0.0000 0.0000 [1 per cell]
Ba: 0.1787 0.7644 0.0000 [3 per cell]
Nd: 0.3438 0.0420 0.5000 [3 per cell]
Nd: 0.4477 0.3600 0.5000 [3 per cell]
Nd: 0.6667 0.3333 0.0000 [1 per cell]
Si: 0.1596 0.1311 0.5000 [3 per cell]
Si: 0.1729 0.5720 0.5000 [3 per cell]
Si: 0.3458 0.2076 0.0000 [3 per cell]
Si: 0.4776 0.0227 0.0000 [3 per cell]
B: 0.6667 0.3333 0.5000 [1 per cell]
N: 0.0284 0.1452 0.5000 [3 per cell]
N: 0.0677 0.5078 0.2583 [6 per cell]
N: 0.2400 0.7313 0.5000 [3 per cell]
N: 0.2605 0.2014 0.2549 [6 per cell]
N: 0.3838 0.0903 0.0000 [3 per cell]
N: 0.4832 0.3585 0.0000 [3 per cell]
N: 0.5399 0.2237 0.5000 [3 per cell]